# 1
This entry pairs a crystal structure of AcIn12Sn6 with its calculated powder X-ray diffraction pattern. Radiation: CuKα. Structure: a GGA-PBE-relaxed structure.
Peak positions follow from Bragg's law for the DFT cell and can differ from measured ones.

The 10 most intense peaks (2θ from 10° to 80°), in order of rising 2θ:
2θ = 21.4°, I = 31, (2 1 1); 2θ = 28.1°, I = 100, (1 3 1); 2θ = 29.4°, I = 77, (1 1 3); 2θ = 33.5°, I = 65, (3 2 1); 2θ = 34.7°, I = 50, (0 3 3); 2θ = 37.0°, I = 77, (2 3 2); 2θ = 38.6°, I = 50, (0 2 4); 2θ = 40.5°, I = 25, (2 4 1); 2θ = 41.4°, I = 58, (5 0 2); 2θ = 65.5°, I = 26, (3 5 4)

a = 13.9400 Å, b = 13.9400 Å, c = 10.1274 Å
α = 90.00°, β = 90.00°, γ = 120.00°
Space group R-3m (No. 166, hexagonal axes)
Inequivalent atoms, fractional coordinates:
Ac 0.0000 0.0000 0.0000 x3
In 0.0000 0.3915 0.5000 x18
In 0.0793 0.1587 0.2887 x18
Sn 0.0554 0.5277 0.2244 x18

***

# 2
This entry pairs a crystal structure of Ac2InSn9 with its calculated powder X-ray diffraction pattern. Radiation: CuKα. Structure: a GGA-PBE-relaxed structure.
Peak positions follow from Bragg's law for the DFT cell and can differ from measured ones.

The 10 most intense peaks (2θ from 10° to 80°), in order of rising 2θ:
2θ = 18.1°, I = 3, (1 0 0); 2θ = 31.7°, I = 100, (1 1 3); 2θ = 36.6°, I = 35, (2 0 0); 2θ = 37.1°, I = 16, (0 0 6); 2θ = 52.8°, I = 12, (2 2 0); 2θ = 53.2°, I = 23, (2 0 6); 2θ = 62.9°, I = 29, (3 1 3); 2θ = 63.6°, I = 13, (1 1 9); 2θ = 66.3°, I = 12, (2 2 6); 2θ = 77.9°, I = 4, (4 0 0)

a = 4.904 Å, b = 4.904 Å, c = 14.521 Å
α = 90.00°, β = 90.00°, γ = 90.00°
Space group P4/mmm (No. 123)
Inequivalent atoms, fractional coordinates:
Ac 0.000 0.000 0.166 x2
In 0.000 0.000 0.500 x1
Sn 0.000 0.500 0.000 x2
Sn 0.000 0.500 0.344 x4
Sn 0.500 0.500 0.174 x2
Sn 0.500 0.500 0.500 x1

***

# 3
This entry pairs a crystal structure of AcIn3Sn with its calculated powder X-ray diffraction pattern. Radiation: CuKα. Structure: a GGA-PBE-relaxed structure.
Peak positions follow from Bragg's law for the DFT cell and can differ from measured ones.

The 10 most intense peaks (2θ from 10° to 80°), in order of rising 2θ:
2θ = 23.8°, I = 17, (0 2 0); 2θ = 31.5°, I = 100, (1 2 1); 2θ = 33.3°, I = 25, (2 0 0); 2θ = 38.0°, I = 11, (0 3 1); 2θ = 41.4°, I = 8, (2 2 0); 2θ = 51.5°, I = 11, (2 3 1); 2θ = 51.9°, I = 10, (0 3 3); 2θ = 58.5°, I = 17, (3 2 1); 2θ = 63.1°, I = 9, (2 3 3); 2θ = 70.0°, I = 11, (4 0 0)

a = 5.374 Å, b = 7.484 Å, c = 7.457 Å
α = 90.00°, β = 90.00°, γ = 90.00°
Space group Pmmn (No. 59, origin choice 2)
Inequivalent atoms, fractional coordinates:
Ac 0.250 0.250 0.205 x2
In 0.250 0.057 0.732 x4
In 0.250 0.750 0.472 x2
Sn 0.250 0.750 0.084 x2

***

# 4
This entry pairs a crystal structure of Ac2InSn4 with its calculated powder X-ray diffraction pattern. Radiation: CuKα. Structure: a GGA-PBE-relaxed structure.
Peak positions follow from Bragg's law for the DFT cell and can differ from measured ones.

The 10 most intense peaks (2θ from 10° to 80°), in order of rising 2θ:
2θ = 18.6°, I = 18, (2 0 0); 2θ = 25.6°, I = 18, (2 0 2); 2θ = 31.9°, I = 100, (2 2 2); 2θ = 35.4°, I = 18, (0 0 4); 2θ = 37.7°, I = 32, (4 0 0); 2θ = 52.7°, I = 24, (4 0 4); 2θ = 61.3°, I = 15, (2 2 6); 2θ = 64.4°, I = 14, (2 6 2); 2θ = 64.6°, I = 14, (6 2 2); 2θ = 66.6°, I = 12, (4 4 4)

a = 9.522 Å, b = 9.544 Å, c = 10.151 Å
α = 90.00°, β = 90.00°, γ = 90.00°
Space group Fmm2 (No. 42)
Inequivalent atoms, fractional coordinates:
Ac 0.250 0.250 0.000 x8
In 0.000 0.000 0.473 x4
Sn 0.000 0.246 0.748 x8
Sn 0.247 0.000 0.748 x8

***

# 5
This entry pairs a crystal structure of Ac5In2Sn4 with its calculated powder X-ray diffraction pattern. Radiation: CuKα. Structure: a GGA-PBE-relaxed structure.
Peak positions follow from Bragg's law for the DFT cell and can differ from measured ones.

The 10 most intense peaks (2θ from 10° to 80°), in order of rising 2θ:
2θ = 21.9°, I = 62, (3 1 0); 2θ = 25.0°, I = 38, (6 0 0); 2θ = 28.8°, I = 40, (1 1 -2); 2θ = 29.7°, I = 100, (3 1 -2); 2θ = 29.9°, I = 28, (6 0 -2); 2θ = 31.6°, I = 32, (4 0 2); 2θ = 34.1°, I = 54, (3 1 2); 2θ = 34.5°, I = 48, (7 1 0); 2θ = 36.4°, I = 52, (0 2 0); 2θ = 47.8°, I = 26, (6 2 -2)

a = 21.985 Å, b = 4.941 Å, c = 7.952 Å
α = 90.00°, β = 103.59°, γ = 90.00°
Space group C2/m (No. 12)
Inequivalent atoms, fractional coordinates:
Ac 0.000 0.000 0.000 x2
Ac 0.153 0.500 0.431 x4
Ac 0.162 0.500 0.936 x4
In 0.074 0.000 0.606 x4
Sn 0.011 0.500 0.701 x4
Sn 0.216 0.000 0.719 x4

***

# 6
This entry pairs a crystal structure of Ac4In5Sn2 with its calculated powder X-ray diffraction pattern. Radiation: CuKα. Structure: a GGA-PBE-relaxed structure.
Peak positions follow from Bragg's law for the DFT cell and can differ from measured ones.

The 10 most intense peaks (2θ from 10° to 80°), in order of rising 2θ:
2θ = 28.4°, I = 91, (1 1 -2); 2θ = 28.6°, I = 100, (2 1 0); 2θ = 28.9°, I = 98, (1 1 2); 2θ = 34.3°, I = 30, (2 1 -2); 2θ = 36.2°, I = 57, (0 2 0); 2θ = 38.3°, I = 25, (3 0 -2); 2θ = 39.0°, I = 24, (0 0 4); 2θ = 39.6°, I = 24, (3 0 2); 2θ = 53.7°, I = 20, (3 2 -2); 2θ = 60.7°, I = 21, (1 3 2)

a = 8.017 Å, b = 4.968 Å, c = 9.234 Å
α = 90.00°, β = 92.05°, γ = 90.00°
Space group P2/m (No. 10)
Inequivalent atoms, fractional coordinates:
Ac 0.221 0.000 0.370 x2
Ac 0.240 0.000 0.895 x2
In 0.134 0.500 0.622 x2
In 0.463 0.500 0.165 x2
In 0.500 0.500 0.500 x1
Sn 0.091 0.500 0.136 x2

***

# 7
This entry pairs a crystal structure of Sr2AcIn6 with its calculated powder X-ray diffraction pattern. Radiation: CuKα. Structure: a GGA-PBE-relaxed structure.
Peak positions follow from Bragg's law for the DFT cell and can differ from measured ones.

The 10 most intense peaks (2θ from 10° to 80°), in order of rising 2θ:
2θ = 11.4°, I = 13, (1 0 0); 2θ = 30.0°, I = 100, (1 1 1); 2θ = 34.8°, I = 73, (3 0 0); 2θ = 45.4°, I = 11, (0 0 2); 2θ = 46.6°, I = 30, (2 2 1); 2θ = 58.5°, I = 32, (3 0 2); 2θ = 59.5°, I = 28, (4 1 1); 2θ = 62.4°, I = 13, (3 3 0); 2θ = 73.5°, I = 8, (6 0 0); 2θ = 74.4°, I = 7, (1 1 3)

a = 8.9296 Å, b = 8.9296 Å, c = 3.9914 Å
α = 90.00°, β = 90.00°, γ = 120.00°
Space group P6/mmm (No. 191)
Inequivalent atoms, fractional coordinates:
Sr 0.3333 0.6667 0.0000 x2
Ac 0.0000 0.0000 0.0000 x1
In 0.0000 0.3341 0.5000 x6

***

# 8
This entry pairs a crystal structure of SrAc3In8 with its calculated powder X-ray diffraction pattern. Radiation: CuKα. Structure: a GGA-PBE-relaxed structure.
Peak positions follow from Bragg's law for the DFT cell and can differ from measured ones.

The 10 most intense peaks (2θ from 10° to 80°), in order of rising 2θ:
2θ = 28.1°, I = 43, (0 1 8); 2θ = 28.4°, I = 42, (1 1 0); 2θ = 33.1°, I = 53, (1 0 10); 2θ = 33.3°, I = 100, (1 1 6); 2θ = 33.4°, I = 50, (2 0 2); 2θ = 34.9°, I = 40, (0 2 4); 2θ = 53.3°, I = 27, (2 1 10); 2θ = 53.5°, I = 26, (3 0 6); 2θ = 58.2°, I = 28, (0 2 16); 2θ = 58.7°, I = 28, (2 2 0)

a = 6.2870 Å, b = 6.2870 Å, c = 31.1951 Å
α = 90.00°, β = 90.00°, γ = 120.00°
Space group R3m (No. 160, hexagonal axes)
Inequivalent atoms, fractional coordinates:
Sr 0.0000 0.0000 0.0000 x3
Ac 0.0000 0.0000 0.1233 x3
Ac 0.0000 0.0000 0.5000 x3
Ac 0.0000 0.0000 0.6255 x3
In 0.0000 0.0000 0.3125 x3
In 0.0000 0.0000 0.8122 x3
In 0.0005 0.5003 0.0627 x9
In 0.1671 0.3342 0.8954 x9